1.
Simulated powder XRD pattern of NaCdAuS2 for a wavelength of 1.5418 Å, from a DFT-relaxed cell (PBE, Alexandria).
No peak broadening, texture or thermal motion is included.

Atomic structure:
a = 5.5511 Å, b = 6.2551 Å, c = 7.1313 Å
α = 90.00°, β = 90.00°, γ = 90.00°
Element x y z (fractional)
Na: 0.0000 0.0000 0.2500
Na: 0.0000 0.0000 0.7500
Cd: 0.5000 0.5000 0.2500
Cd: 0.5000 0.5000 0.7500
Au: 0.5000 0.0000 0.0000
Au: 0.5000 0.0000 0.5000
S: 0.2427 0.2945 0.0000
S: 0.2427 0.7055 0.5000
S: 0.7573 0.2945 0.5000
S: 0.7573 0.7055 0.0000

Main lines, low angle first (10° ≤ 2θ ≤ 90°):
d_spacing, Position (°2θ), I_rel
5.551, 15.97, 100
3.128, 28.54, 25
3.098, 28.82, 45
2.725, 32.87, 37
2.705, 33.12, 99
2.076, 43.60, 31
2.067, 43.80, 39
1.712, 53.52, 26

---

2.
Simulated powder XRD pattern of Pa2TcPt for a wavelength of 1.5418 Å, from a DFT-relaxed cell (PBE, Alexandria).
No peak broadening, texture or thermal motion is included.

Atomic structure:
a = 5.8123 Å, b = 7.5817 Å, c = 4.1704 Å
α = 90.00°, β = 90.00°, γ = 90.00°
Element x y z (fractional)
Pa: 0.2304 0.1655 0.0000
Pa: 0.2696 0.6655 0.5000
Pa: 0.7304 0.3345 0.5000
Pa: 0.7696 0.8345 0.0000
Tc: 0.0000 0.0000 0.5000
Tc: 0.5000 0.5000 0.0000
Pt: 0.0000 0.5000 0.0000
Pt: 0.5000 0.0000 0.5000

Main lines, low angle first (10° ≤ 2θ ≤ 90°):
d_spacing, Position (°2θ), I_rel
3.175, 28.10, 55
3.094, 28.86, 100
2.306, 39.05, 39
2.275, 39.62, 77
2.161, 41.79, 70
2.085, 43.40, 31
1.743, 52.50, 20
1.547, 59.79, 23

---

3.
Simulated powder XRD pattern of Ag13OsO6 for a wavelength of 1.5418 Å, from a DFT-relaxed cell (PBE, Alexandria).
No peak broadening, texture or thermal motion is included.

Atomic structure:
a = 9.4791 Å, b = 9.4791 Å, c = 9.4791 Å
α = 60.00°, β = 60.00°, γ = 60.00°
Element x y z (fractional)
Ag: 0.0000 0.0000 0.0000
Ag: 0.0643 0.2923 0.7077
Ag: 0.0643 0.7077 0.9357
Ag: 0.0643 0.9357 0.2923
Ag: 0.2077 0.4357 0.7923
Ag: 0.2077 0.5643 0.4357
Ag: 0.2077 0.7923 0.5643
Ag: 0.2923 0.0643 0.9357
Ag: 0.2923 0.7077 0.0643
Ag: 0.2923 0.9357 0.7077
Ag: 0.4357 0.2077 0.5643
Ag: 0.4357 0.5643 0.7923
Ag: 0.4357 0.7923 0.2077
Ag: 0.5000 0.5000 0.5000
Ag: 0.5643 0.2077 0.7923
Ag: 0.5643 0.4357 0.2077
Ag: 0.5643 0.7923 0.4357
Ag: 0.7077 0.0643 0.2923
Ag: 0.7077 0.2923 0.9357
Ag: 0.7077 0.9357 0.0643
Ag: 0.7923 0.2077 0.4357
Ag: 0.7923 0.4357 0.5643
Ag: 0.7923 0.5643 0.2077
Ag: 0.9357 0.0643 0.7077
Ag: 0.9357 0.2923 0.0643
Ag: 0.9357 0.7077 0.2923
Os: 0.2500 0.2500 0.2500
Os: 0.7500 0.7500 0.7500
O: 0.1069 0.1069 0.3931
O: 0.1069 0.3931 0.1069
O: 0.1069 0.3931 0.3931
O: 0.3931 0.1069 0.1069
O: 0.3931 0.1069 0.3931
O: 0.3931 0.3931 0.1069
O: 0.6069 0.6069 0.8931
O: 0.6069 0.8931 0.6069
O: 0.6069 0.8931 0.8931
O: 0.8931 0.6069 0.6069
O: 0.8931 0.6069 0.8931
O: 0.8931 0.8931 0.6069

Main lines, low angle first (10° ≤ 2θ ≤ 90°):
d_spacing, Position (°2θ), I_rel
2.998, 29.81, 28
2.736, 32.73, 48
2.266, 39.78, 100
2.234, 40.37, 23
2.120, 42.66, 20
1.315, 71.81, 13
1.250, 76.15, 13
1.150, 84.23, 14

---

4.
Simulated powder XRD pattern of PuCoNiH6 for a wavelength of 1.5418 Å, from a DFT-relaxed cell (PBE, Alexandria).
No peak broadening, texture or thermal motion is included.

Atomic structure:
a = 4.3868 Å, b = 4.3868 Å, c = 4.1269 Å
α = 90.00°, β = 90.00°, γ = 120.00°
Element x y z (fractional)
Pu: 0.0000 0.0000 0.0000
Co: 0.6667 0.3333 0.5000
Ni: 0.3333 0.6667 0.5000
H: 0.5033 0.0066 0.2451
H: 0.5033 0.0066 0.7549
H: 0.5033 0.4967 0.2451
H: 0.5033 0.4967 0.7549
H: 0.9934 0.4967 0.2451
H: 0.9934 0.4967 0.7549

Main lines, low angle first (10° ≤ 2θ ≤ 90°):
d_spacing, Position (°2θ), I_rel
3.799, 23.42, 33
2.795, 32.02, 100
2.193, 41.15, 37
2.063, 43.88, 10
1.813, 50.32, 10
1.726, 53.07, 24
1.503, 61.72, 23
1.356, 69.28, 22

---

5.
Simulated powder XRD pattern of HoZrSc2P4 for a wavelength of 1.5418 Å, from a DFT-relaxed cell (PBE, Alexandria).
No peak broadening, texture or thermal motion is included.

Atomic structure:
a = 6.5665 Å, b = 3.8086 Å, c = 6.6004 Å
α = 90.00°, β = 109.36°, γ = 90.00°
Element x y z (fractional)
Ho: 0.0000 0.0000 0.0000
Zr: 0.0000 0.5000 0.5000
Sc: 0.5000 0.0000 0.5000
Sc: 0.5000 0.5000 0.0000
P: 0.2550 0.0000 0.7453
P: 0.2596 0.5000 0.2599
P: 0.7404 0.5000 0.7401
P: 0.7450 0.0000 0.2547

Main lines, low angle first (10° ≤ 2θ ≤ 90°):
d_spacing, Position (°2θ), I_rel
6.199, 14.29, 32
3.248, 27.46, 23
3.109, 28.71, 33
3.098, 28.82, 11
2.690, 33.31, 100
1.904, 47.76, 46
1.898, 47.94, 23
1.553, 59.51, 12

---

6.
Simulated powder XRD pattern of Nd8YEr4 for a wavelength of 1.5418 Å, from a DFT-relaxed cell (PBE, Alexandria).
No peak broadening, texture or thermal motion is included.

Atomic structure:
a = 10.5408 Å, b = 10.5408 Å, c = 10.5408 Å
α = 40.36°, β = 40.36°, γ = 40.36°
Element x y z (fractional)
Nd: 0.2062 0.7522 0.7522
Nd: 0.2123 0.2123 0.2123
Nd: 0.2478 0.2478 0.7938
Nd: 0.2478 0.7938 0.2478
Nd: 0.7522 0.2062 0.7522
Nd: 0.7522 0.7522 0.2062
Nd: 0.7877 0.7877 0.7877
Nd: 0.7938 0.2478 0.2478
Y: 0.5000 0.5000 0.5000
Er: 0.0000 0.0000 0.0000
Er: 0.0000 0.5000 0.5000
Er: 0.5000 0.0000 0.5000
Er: 0.5000 0.5000 0.0000

Main lines, low angle first (10° ≤ 2θ ≤ 90°):
d_spacing, Position (°2θ), I_rel
3.223, 27.68, 30
3.131, 28.51, 21
2.888, 30.96, 100
2.768, 32.35, 42
2.377, 37.85, 37
1.819, 50.15, 45
1.584, 58.26, 23
1.539, 60.14, 14

---

7.
Simulated powder XRD pattern of Si5C for a wavelength of 1.5418 Å, from a DFT-relaxed cell (PBE, Alexandria).
No peak broadening, texture or thermal motion is included.

Atomic structure:
a = 3.0265 Å, b = 10.0673 Å, c = 5.8358 Å
α = 90.00°, β = 90.00°, γ = 90.00°
Element x y z (fractional)
Si: 0.0000 0.0000 0.0000
Si: 0.0000 0.3445 0.1808
Si: 0.0000 0.3674 0.5890
Si: 0.0000 0.6326 0.5890
Si: 0.0000 0.6555 0.1808
Si: 0.5000 0.1326 0.5890
Si: 0.5000 0.1555 0.1808
Si: 0.5000 0.5000 0.0000
Si: 0.5000 0.8445 0.1808
Si: 0.5000 0.8674 0.5890
C: 0.0000 0.0000 0.6744
C: 0.5000 0.5000 0.6744

Main lines, low angle first (10° ≤ 2θ ≤ 90°):
d_spacing, Position (°2θ), I_rel
3.812, 23.34, 26
2.918, 30.64, 61
2.596, 34.55, 34
2.247, 40.12, 100
2.056, 44.04, 26
1.906, 47.72, 18
1.781, 51.31, 40
1.615, 57.02, 22

---

8.
Simulated powder XRD pattern of GePdF6 for a wavelength of 1.5418 Å, from a DFT-relaxed cell (PBE, Alexandria).
No peak broadening, texture or thermal motion is included.

Atomic structure:
a = 5.0175 Å, b = 5.0175 Å, c = 9.4255 Å
α = 90.00°, β = 90.00°, γ = 120.00°
Element x y z (fractional)
Ge: 0.0000 0.0000 0.0000
Ge: 0.0000 0.0000 0.5000
Pd: 0.3333 0.6667 0.2500
Pd: 0.6667 0.3333 0.7500
F: 0.0078 0.3037 0.6122
F: 0.0078 0.7041 0.8878
F: 0.2959 0.3037 0.8878
F: 0.2959 0.9922 0.6122
F: 0.3037 0.0078 0.1122
F: 0.3037 0.2959 0.3878
F: 0.6963 0.7041 0.6122
F: 0.6963 0.9922 0.8878
F: 0.7041 0.0078 0.3878
F: 0.7041 0.6963 0.1122
F: 0.9922 0.2959 0.1122
F: 0.9922 0.6963 0.3878

Main lines, low angle first (10° ≤ 2θ ≤ 90°):
d_spacing, Position (°2θ), I_rel
3.946, 22.53, 84
3.195, 27.93, 100
2.546, 35.25, 28
2.509, 35.79, 24
2.215, 40.74, 22
1.973, 46.00, 23
1.718, 53.34, 50
1.551, 59.61, 23

---

9.
Simulated powder XRD pattern of Sr2Cd12Au5 for a wavelength of 1.5418 Å, from a DFT-relaxed cell (PBE, Alexandria).
No peak broadening, texture or thermal motion is included.

Atomic structure:
a = 7.6191 Å, b = 7.6191 Å, c = 7.6191 Å
α = 83.64°, β = 83.64°, γ = 83.64°
Element x y z (fractional)
Sr: 0.1685 0.1685 0.1685
Sr: 0.8315 0.8315 0.8315
Cd: 0.1502 0.1502 0.6496
Cd: 0.1502 0.6496 0.1502
Cd: 0.2069 0.5000 0.7931
Cd: 0.2069 0.7931 0.5000
Cd: 0.3504 0.8498 0.8498
Cd: 0.5000 0.2069 0.7931
Cd: 0.5000 0.7931 0.2069
Cd: 0.6496 0.1502 0.1502
Cd: 0.7931 0.2069 0.5000
Cd: 0.7931 0.5000 0.2069
Cd: 0.8498 0.3504 0.8498
Cd: 0.8498 0.8498 0.3504
Au: 0.0000 0.5000 0.5000
Au: 0.3947 0.3947 0.3947
Au: 0.5000 0.0000 0.5000
Au: 0.5000 0.5000 0.0000
Au: 0.6053 0.6053 0.6053

Main lines, low angle first (10° ≤ 2θ ≤ 90°):
d_spacing, Position (°2θ), I_rel
7.534, 11.75, 61
2.933, 30.48, 23
2.540, 35.34, 76
2.511, 35.75, 59
2.431, 36.97, 70
2.251, 40.05, 100
2.193, 41.16, 31
1.467, 63.43, 24

---

10.
Simulated powder XRD pattern of NdCo2GeN for a wavelength of 1.5418 Å, from a DFT-relaxed cell (PBE, Alexandria).
No peak broadening, texture or thermal motion is included.

Atomic structure:
a = 5.7923 Å, b = 5.7923 Å, c = 6.9412 Å
α = 90.00°, β = 90.00°, γ = 142.29°
Element x y z (fractional)
Nd: 0.0460 0.9540 0.7500
Nd: 0.9540 0.0460 0.2500
Co: 0.3393 0.6607 0.5546
Co: 0.3393 0.6607 0.9454
Co: 0.6607 0.3393 0.0546
Co: 0.6607 0.3393 0.4454
Ge: 0.2292 0.7708 0.2500
Ge: 0.7708 0.2292 0.7500
N: 0.5000 0.5000 0.0000
N: 0.5000 0.5000 0.5000

Main lines, low angle first (10° ≤ 2θ ≤ 90°):
d_spacing, Position (°2θ), I_rel
2.615, 34.29, 39
2.549, 35.21, 49
2.479, 36.23, 100
2.447, 36.72, 72
2.151, 42.01, 21
1.872, 48.63, 30
1.734, 52.80, 33
1.509, 61.45, 19

---

11.
Simulated powder XRD pattern of Cu2Te for a wavelength of 1.5418 Å, from a DFT-relaxed cell (PBE, Alexandria).
No peak broadening, texture or thermal motion is included.

Atomic structure:
a = 3.8597 Å, b = 15.8738 Å, c = 3.7420 Å
α = 90.00°, β = 90.00°, γ = 90.00°
Element x y z (fractional)
Cu: 0.0000 0.0532 0.2500
Cu: 0.0000 0.4436 0.2500
Cu: 0.0000 0.5564 0.7500
Cu: 0.0000 0.9468 0.7500
Cu: 0.5000 0.0564 0.7500
Cu: 0.5000 0.4468 0.7500
Cu: 0.5000 0.5532 0.2500
Cu: 0.5000 0.9436 0.2500
Te: 0.0000 0.1669 0.7500
Te: 0.0000 0.8331 0.2500
Te: 0.5000 0.3331 0.2500
Te: 0.5000 0.6669 0.7500

Main lines, low angle first (10° ≤ 2θ ≤ 90°):
d_spacing, Position (°2θ), I_rel
7.937, 11.15, 25
3.385, 26.33, 41
3.118, 28.63, 40
2.723, 32.90, 22
2.396, 37.55, 39
2.051, 44.16, 100
1.930, 47.09, 24
1.112, 87.79, 33

---

12.
Simulated powder XRD pattern of K6InSe4 for a wavelength of 1.5418 Å, from a DFT-relaxed cell (PBE, Alexandria).
No peak broadening, texture or thermal motion is included.

Atomic structure:
a = 10.6426 Å, b = 10.6426 Å, c = 8.0634 Å
α = 90.00°, β = 90.00°, γ = 120.00°
Element x y z (fractional)
K: 0.0593 0.5297 0.0000
K: 0.1438 0.2876 0.3282
K: 0.1438 0.8562 0.3282
K: 0.2876 0.1438 0.8282
K: 0.4703 0.5297 0.0000
K: 0.4703 0.9407 0.0000
K: 0.5297 0.0593 0.5000
K: 0.5297 0.4703 0.5000
K: 0.7124 0.8562 0.3282
K: 0.8562 0.1438 0.8282
K: 0.8562 0.7124 0.8282
K: 0.9407 0.4703 0.5000
In: 0.3333 0.6667 0.6214
In: 0.6667 0.3333 0.1214
Se: 0.1897 0.3794 0.7240
Se: 0.1897 0.8103 0.7240
Se: 0.3333 0.6667 0.2768
Se: 0.3794 0.1897 0.2240
Se: 0.6206 0.8103 0.7240
Se: 0.6667 0.3333 0.7768
Se: 0.8103 0.1897 0.2240
Se: 0.8103 0.6206 0.2240

Main lines, low angle first (10° ≤ 2θ ≤ 90°):
d_spacing, Position (°2θ), I_rel
6.069, 14.60, 59
4.608, 19.26, 34
3.198, 27.90, 63
3.034, 29.44, 75
2.871, 31.15, 32
2.661, 33.69, 100
2.580, 34.77, 26
2.322, 38.79, 42